# 1
Diffraction record for Ho12Ni5Bi. The powder diffractogram is computed, not measured: it uses the PBE geometry in Alexandria and Cu Kα X-rays.

Principal peaks in the range 15° ≤ 2θ ≤ 90°, by intensity:
(hkl)	d_spacing	2θ/deg	Rel. int.
2 2 2	2.771	32.3	100
2 1 3	2.594	34.6	66
1 3 2	2.581	34.8	64
3 1 0	2.962	30.2	41
3 2 1	2.525	35.6	37
0 3 1	3.042	29.4	36

Cell and atoms:
```
data_Ho12Ni5Bi
_cell_length_a 9.339
_cell_length_b 9.591
_cell_length_c 9.895
_cell_angle_alpha 90.00
_cell_angle_beta 90.00
_cell_angle_gamma 90.00
_space_group_name_H-M_alt 'I m m m'
_space_group_IT_number 71
_space_group_name_Hall '-I 2 2'
loop_
_atom_site_label
_atom_site_type_symbol
_atom_site_fract_x
_atom_site_fract_y
_atom_site_fract_z
Ho1 Ho 0.000 0.193 0.207
Ho2 Ho 0.192 0.500 0.180
Ho3 Ho 0.206 0.321 0.500
Ni1 Ni 0.000 0.000 0.000
Ni2 Ni 0.000 0.366 0.000
Ni3 Ni 0.000 0.500 0.376
Bi1 Bi 0.000 0.000 0.500
```


# 2
Diffraction record for MnHg3S4. The powder diffractogram is computed, not measured: it uses the PBE geometry in Alexandria and Cu Kα X-rays.

Principal peaks in the range 15° ≤ 2θ ≤ 90°, by intensity:
(hkl)	d_spacing	2θ/deg	Rel. int.
1 1 2	3.392	26.3	100
3 1 2	1.811	50.4	33
2 0 4	2.047	44.2	32
2 0 0	3.029	29.5	24
2 2 0	2.142	42.2	18
1 1 6	1.700	54.0	14

Cell and atoms:
```
data_MnHg3S4
_cell_length_a 6.058
_cell_length_b 6.058
_cell_length_c 11.109
_cell_angle_alpha 90.00
_cell_angle_beta 90.00
_cell_angle_gamma 90.00
_space_group_name_H-M_alt 'I -4 2 m'
_space_group_IT_number 121
_space_group_name_Hall 'I -4 2'
loop_
_atom_site_label
_atom_site_type_symbol
_atom_site_fract_x
_atom_site_fract_y
_atom_site_fract_z
Mn1 Mn 0.000 0.000 0.000
Hg1 Hg 0.000 0.000 0.500
Hg2 Hg 0.000 0.500 0.250
S1 S 0.205 0.205 0.892
```


# 3
Diffraction record for Nd3Er4Tm8. The powder diffractogram is computed, not measured: it uses the PBE geometry in Alexandria and Cu Kα X-rays.

Principal peaks in the range 15° ≤ 2θ ≤ 90°, by intensity:
(hkl)	d_spacing	2θ/deg	Rel. int.
4 0 -2	2.881	31.0	100
4 0 0	2.870	31.2	49
4 4 -2	2.142	42.2	46
0 4 0	3.204	27.8	36
4 8 -2	1.400	66.8	31
2 4 -1	2.799	32.0	30

Cell and atoms:
```
data_Nd3Er4Tm8
_cell_length_a 13.266
_cell_length_b 12.816
_cell_length_c 6.662
_cell_angle_alpha 90.00
_cell_angle_beta 120.06
_cell_angle_gamma 90.00
_space_group_name_H-M_alt 'C 1 2/m 1'
_space_group_IT_number 12
loop_
_space_group_symop_operation_xyz
'x,y,z'
'-x,-y,-z'
'-x,y,-z'
'x,-y,z'
'x+1/2,y+1/2,z'
'-x+1/2,-y+1/2,-z'
'-x+1/2,y+1/2,-z'
'x+1/2,-y+1/2,z'
loop_
_atom_site_label
_atom_site_type_symbol
_atom_site_fract_x
_atom_site_fract_y
_atom_site_fract_z
Nd1 Nd 0.000 0.000 0.000
Nd2 Nd 0.250 0.250 0.000
Er1 Er 0.000 0.500 0.000
Er2 Er 0.000 0.500 0.500
Er3 Er 0.250 0.250 0.500
Tm1 Tm 0.000 0.138 0.500
Tm2 Tm 0.000 0.249 0.000
Tm3 Tm 0.234 0.000 0.966
Tm4 Tm 0.239 0.000 0.492
```


# 4
Diffraction record for RbTlAgO2. The powder diffractogram is computed, not measured: it uses the PBE geometry in Alexandria and Cu Kα X-rays.

Principal peaks in the range 15° ≤ 2θ ≤ 90°, by intensity:
(hkl)	d_spacing	2θ/deg	Rel. int.
2 2 1	2.610	34.4	100
0 2 2	2.514	35.7	64
0 4 0	3.300	27.0	61
2 4 1	2.153	42.0	52
2 0 1	2.842	31.5	49
2 6 1	1.740	52.6	32

Cell and atoms:
```
data_RbTlAgO2
_cell_length_a 6.668
_cell_length_b 13.198
_cell_length_c 5.438
_cell_angle_alpha 90.00
_cell_angle_beta 90.00
_cell_angle_gamma 90.00
_space_group_name_H-M_alt 'C m m e'
_space_group_IT_number 67
_space_group_name_Hall '-C 2a 2'
loop_
_atom_site_label
_atom_site_type_symbol
_atom_site_fract_x
_atom_site_fract_y
_atom_site_fract_z
Rb1 Rb 0.000 0.250 0.223
Tl1 Tl 0.250 0.000 0.000
Ag1 Ag 0.000 0.000 0.500
O1 O 0.000 0.101 0.806
```


# 5
Diffraction record for Nd2Sm2Er5. The powder diffractogram is computed, not measured: it uses the PBE geometry in Alexandria and Cu Kα X-rays.

Principal peaks in the range 15° ≤ 2θ ≤ 90°, by intensity:
(hkl)	d_spacing	2θ/deg	Rel. int.
0 4 0	2.956	30.2	100
4 1 1	3.152	28.3	78
0 2 2	2.927	30.5	74
2 2 2	2.725	32.9	69
5 1 0	2.901	30.8	64
3 1 2	2.717	33.0	52

Cell and atoms:
```
data_Nd2Sm2Er5
_cell_length_a 14.962
_cell_length_b 11.825
_cell_length_c 6.736
_cell_angle_alpha 90.00
_cell_angle_beta 90.00
_cell_angle_gamma 90.00
_space_group_name_H-M_alt 'I m a 2'
_space_group_IT_number 46
loop_
_space_group_symop_operation_xyz
'x,y,z'
'-x,-y,z'
'-x+1/2,y,z'
'x+1/2,-y,z'
'x+1/2,y+1/2,z+1/2'
'-x+1/2,-y+1/2,z+1/2'
'-x,y+1/2,z+1/2'
'x,-y+1/2,z+1/2'
loop_
_atom_site_label
_atom_site_type_symbol
_atom_site_fract_x
_atom_site_fract_y
_atom_site_fract_z
Nd1 Nd 0.127 0.004 0.000
Sm1 Sm 0.000 0.000 0.548
Sm2 Sm 0.250 0.511 0.951
Er1 Er 0.053 0.243 0.352
Er2 Er 0.142 0.735 0.167
Er3 Er 0.250 0.246 0.150
```


# 6
Diffraction record for Pu2Ge4IrRh3. The powder diffractogram is computed, not measured: it uses the PBE geometry in Alexandria and Cu Kα X-rays.

Principal peaks in the range 15° ≤ 2θ ≤ 90°, by intensity:
(hkl)	d_spacing	2θ/deg	Rel. int.
1 1 2	2.577	34.8	100
1 0 3	2.640	34.0	61
2 0 0	2.116	42.7	53
2 1 3	1.651	55.7	30
1 0 5	1.828	49.9	24
3 1 2	1.294	73.2	24

Cell and atoms:
```
data_Pu2Ge4IrRh3
_cell_length_a 4.231
_cell_length_b 4.231
_cell_length_c 10.136
_cell_angle_alpha 90.00
_cell_angle_beta 90.00
_cell_angle_gamma 90.00
_space_group_name_H-M_alt 'P -4 m 2'
_space_group_IT_number 115
loop_
_space_group_symop_operation_xyz
'x,y,z'
'y,-x,-z'
'-x,-y,z'
'-y,x,-z'
'-x,y,z'
'-y,-x,-z'
'x,-y,z'
'y,x,-z'
loop_
_atom_site_label
_atom_site_type_symbol
_atom_site_fract_x
_atom_site_fract_y
_atom_site_fract_z
Pu1 Pu 0.000 0.500 0.246
Ge1 Ge 0.000 0.000 0.000
Ge2 Ge 0.000 0.500 0.632
Ge3 Ge 0.500 0.500 0.000
Ir1 Ir 0.000 0.000 0.500
Rh1 Rh 0.000 0.500 0.872
Rh2 Rh 0.500 0.500 0.500
```


# 7
Diffraction record for Tm3TlZn2. The powder diffractogram is computed, not measured: it uses the PBE geometry in Alexandria and Cu Kα X-rays.

Principal peaks in the range 15° ≤ 2θ ≤ 90°, by intensity:
(hkl)	d_spacing	2θ/deg	Rel. int.
1 0 3	2.562	35.0	100
1 1 0	2.508	35.8	51
2 1 3	1.458	63.8	35
2 0 0	1.774	51.5	18
1 1 6	1.490	62.3	15
3 1 0	1.122	86.8	12

Cell and atoms:
```
data_Tm3TlZn2
_cell_length_a 3.547
_cell_length_b 3.547
_cell_length_c 11.110
_cell_angle_alpha 90.00
_cell_angle_beta 90.00
_cell_angle_gamma 90.00
_space_group_name_H-M_alt 'P 4/m m m'
_space_group_IT_number 123
_space_group_name_Hall '-P 4 2'
loop_
_atom_site_label
_atom_site_type_symbol
_atom_site_fract_x
_atom_site_fract_y
_atom_site_fract_z
Tm1 Tm 0.000 0.000 0.000
Tm2 Tm 0.000 0.000 0.311
Tl1 Tl 0.500 0.500 0.500
Zn1 Zn 0.500 0.500 0.152
```


# 8
Diffraction record for Cs3K4Au2. The powder diffractogram is computed, not measured: it uses the PBE geometry in Alexandria and Cu Kα X-rays.

Principal peaks in the range 15° ≤ 2θ ≤ 90°, by intensity:
(hkl)	d_spacing	2θ/deg	Rel. int.
2 2 -3	2.797	32.0	100
4 2 1	3.169	28.2	99
3 1 -1	5.292	16.8	94
2 0 2	3.562	25.0	81
1 3 1	3.830	23.2	69
5 1 0	3.443	25.9	66

Cell and atoms:
```
data_Cs3K4Au2
_cell_length_a 18.574
_cell_length_b 13.624
_cell_length_c 9.204
_cell_angle_alpha 90.00
_cell_angle_beta 106.66
_cell_angle_gamma 90.00
_space_group_name_H-M_alt 'C 1 2/c 1'
_space_group_IT_number 15
loop_
_space_group_symop_operation_xyz
'x,y,z'
'-x,-y,-z'
'-x,y,-z+1/2'
'x,-y,z+1/2'
'x+1/2,y+1/2,z'
'-x+1/2,-y+1/2,-z'
'-x+1/2,y+1/2,-z+1/2'
'x+1/2,-y+1/2,z+1/2'
loop_
_atom_site_label
_atom_site_type_symbol
_atom_site_fract_x
_atom_site_fract_y
_atom_site_fract_z
Cs1 Cs 0.000 0.082 0.250
Cs2 Cs 0.132 0.379 0.204
K1 K 0.123 0.261 0.664
K2 K 0.193 0.065 0.071
Au1 Au 0.215 0.161 0.427
```